Starting from a cell relaxed with PBE, the X-ray diffraction stick pattern of Pm2Al2Cd3 was computed for copper Kα.

Atomic structure:
Unit cell a=4.494 b=21.524 c=3.519 alpha=90.00 beta=90.00 gamma=90.00
Space group Cmmm (No. 65)
Unique sites:
Pm (0.000, 0.159, 0.000) x4
Al (0.000, 0.282, 0.500) x4
Cd (0.000, 0.000, 0.000) x2
Cd (0.000, 0.429, 0.500) x4

Largest 8 diffraction maxima, in order of rising 2θ, 2θ from 15° to 90°:
- 28.72 deg, I = 24
- 32.59 deg, I = 100
- 35.37 deg, I = 64
- 35.74 deg, I = 62
- 40.13 deg, I = 28
- 54.82 deg, I = 36
- 64.44 deg, I = 21
- 65.70 deg, I = 21

=====

Starting from a cell relaxed with PBE, the X-ray diffraction stick pattern of PmAlCd was computed for copper Kα.

Atomic structure:
Unit cell a=4.7828 b=4.7828 c=3.6712 alpha=90.00 beta=90.00 gamma=120.00
Space group P-6m2 (No. 187)
Unique sites:
Pm (0.0000, 0.0000, 0.0000) x1
Al (0.3333, 0.6667, 0.5000) x1
Cd (0.6667, 0.3333, 0.5000) x1

Largest 8 diffraction maxima, in order of rising 2θ, 2θ from 15° to 90°:
- 21.45 deg, I = 30
- 32.59 deg, I = 100
- 37.61 deg, I = 53
- 50.60 deg, I = 29
- 63.94 deg, I = 22
- 64.73 deg, I = 27
- 88.64 deg, I = 9
- 89.36 deg, I = 12

=====

Starting from a cell relaxed with PBE, the X-ray diffraction stick pattern of Pm3Al2Cd2 was computed for copper Kα.

Atomic structure:
Unit cell a=4.470 b=22.324 c=3.629 alpha=90.00 beta=90.00 gamma=90.00
Space group Cmmm (No. 65)
Unique sites:
Pm (0.000, 0.000, 0.000) x2
Pm (0.000, 0.162, 0.000) x4
Al (0.000, 0.281, 0.500) x4
Cd (0.000, 0.419, 0.500) x4

Largest 8 diffraction maxima, in order of rising 2θ, 2θ from 15° to 90°:
- 28.25 deg, I = 33
- 32.02 deg, I = 78
- 34.54 deg, I = 100
- 40.36 deg, I = 21
- 50.29 deg, I = 11
- 54.13 deg, I = 31
- 62.45 deg, I = 15
- 63.44 deg, I = 15

=====

Starting from a cell relaxed with PBE, the X-ray diffraction stick pattern of Pm2AlCd16 was computed for copper Kα.

Atomic structure:
Unit cell a=10.0969 b=10.0969 c=14.8606 alpha=90.00 beta=90.00 gamma=120.00
Space group R3m (No. 160, hexagonal axes)
Unique sites:
Pm (0.0000, 0.0000, 0.0000) x3
Pm (0.0000, 0.0000, 0.3515) x3
Al (0.0000, 0.0000, 0.5804) x3
Cd (0.0000, 0.0000, 0.7681) x3
Cd (0.0007, 0.3074, 0.6770) x18
Cd (0.0278, 0.5139, 0.5272) x9
Cd (0.0378, 0.5189, 0.1728) x9
Cd (0.0654, 0.5327, 0.8330) x9

Largest 8 diffraction maxima, in order of rising 2θ, 2θ from 15° to 90°:
- 30.67 deg, I = 28
- 35.57 deg, I = 22
- 35.74 deg, I = 100
- 36.27 deg, I = 26
- 36.56 deg, I = 14
- 40.09 deg, I = 25
- 63.87 deg, I = 11
- 64.91 deg, I = 16

=====

Starting from a cell relaxed with PBE, the X-ray diffraction stick pattern of PrAlCd was computed for copper Kα.

Atomic structure:
Unit cell a=4.397 b=4.397 c=16.446 alpha=90.00 beta=90.00 gamma=90.00
Space group I-4m2 (No. 119)
Unique sites:
Pr (0.000, 0.000, 0.000) x2
Pr (0.000, 0.500, 0.250) x2
Al (0.000, 0.000, 0.422) x4
Cd (0.000, 0.500, 0.665) x4

Largest 8 diffraction maxima, in order of rising 2θ, 2θ from 15° to 90°:
- 25.98 deg, I = 34
- 30.74 deg, I = 100
- 34.04 deg, I = 64
- 41.05 deg, I = 40
- 43.68 deg, I = 31
- 54.36 deg, I = 38
- 61.49 deg, I = 22
- 68.43 deg, I = 24

=====

Starting from a cell relaxed with PBE, the X-ray diffraction stick pattern of Pr3Al2Cd3 was computed for copper Kα.

Atomic structure:
Unit cell a=4.757 b=11.294 c=15.811 alpha=90.00 beta=90.00 gamma=90.00
Space group Cmcm (No. 63)
Unique sites:
Pr (0.000, 0.091, 0.108) x8
Pr (0.000, 0.372, 0.250) x4
Al (0.000, 0.203, 0.603) x8
Cd (0.000, 0.338, 0.750) x4
Cd (0.000, 0.379, 0.036) x8

Largest 8 diffraction maxima, in order of rising 2θ, 2θ from 15° to 90°:
- 26.45 deg, I = 20
- 30.45 deg, I = 100
- 30.81 deg, I = 40
- 31.69 deg, I = 34
- 32.43 deg, I = 20
- 34.83 deg, I = 28
- 37.83 deg, I = 39
- 38.04 deg, I = 34

=====

Starting from a cell relaxed with PBE, the X-ray diffraction stick pattern of Pr2Al3Cd was computed for copper Kα.

Atomic structure:
Unit cell a=7.691 b=9.397 c=16.221 alpha=90.00 beta=90.00 gamma=90.00
Space group Fmmm (No. 69)
Unique sites:
Pr (0.248, 0.000, 0.000) x8
Pr (0.250, 0.250, 0.250) x8
Al (0.000, 0.000, 0.336) x8
Al (0.000, 0.245, 0.418) x16
Cd (0.000, 0.000, 0.167) x8

Largest 8 diffraction maxima, in order of rising 2θ, 2θ from 15° to 90°:
- 21.88 deg, I = 30
- 32.05 deg, I = 100
- 38.31 deg, I = 16
- 38.42 deg, I = 32
- 50.80 deg, I = 18
- 50.91 deg, I = 9
- 62.46 deg, I = 23
- 65.51 deg, I = 17

=====

Starting from a cell relaxed with PBE, the X-ray diffraction stick pattern of PrPuAlCd was computed for copper Kα.

Atomic structure:
Unit cell a=7.547 b=7.547 c=7.547 alpha=90.00 beta=90.00 gamma=90.00
Space group F-43m (No. 216)
Unique sites:
Pr (0.000, 0.000, 0.000) x4
Pu (0.000, 0.000, 0.500) x4
Al (0.250, 0.250, 0.750) x4
Cd (0.250, 0.250, 0.250) x4

Largest 8 diffraction maxima, in order of rising 2θ, 2θ from 15° to 90°:
- 20.38 deg, I = 13
- 23.58 deg, I = 24
- 33.59 deg, I = 100
- 48.24 deg, I = 18
- 54.37 deg, I = 11
- 60.06 deg, I = 38
- 70.60 deg, I = 12
- 80.49 deg, I = 16

=====

Starting from a cell relaxed with PBE, the X-ray diffraction stick pattern of AlZn2Cd2Pt5 was computed for copper Kα.

Atomic structure:
Unit cell a=9.425 b=9.425 c=3.721 alpha=90.00 beta=90.00 gamma=90.00
Space group P4/mbm (No. 127)
Unique sites:
Al (0.000, 0.000, 0.000) x2
Zn (0.128, 0.372, 0.000) x4
Cd (0.170, 0.670, 0.000) x4
Pt (0.000, 0.500, 0.500) x2
Pt (0.079, 0.191, 0.500) x8

Largest 8 diffraction maxima, in order of rising 2θ, 2θ from 15° to 90°:
- 23.92 deg, I = 27
- 32.09 deg, I = 20
- 38.71 deg, I = 100
- 39.42 deg, I = 46
- 42.25 deg, I = 42
- 48.96 deg, I = 24
- 64.59 deg, I = 22
- 67.73 deg, I = 20

=====

Starting from a cell relaxed with PBE, the X-ray diffraction stick pattern of Rb2AlCdSe4 was computed for copper Kα.

Atomic structure:
Unit cell a=8.328 b=8.328 c=7.148 alpha=90.00 beta=90.00 gamma=90.00
Space group I-42m (No. 121)
Unique sites:
Rb (0.000, 0.500, 0.000) x4
Al (0.000, 0.000, 0.000) x2
Cd (0.000, 0.000, 0.500) x2
Se (0.156, 0.156, 0.776) x8

Largest 8 diffraction maxima, in order of rising 2θ, 2θ from 15° to 90°:
- 21.34 deg, I = 25
- 27.00 deg, I = 100
- 30.36 deg, I = 35
- 33.03 deg, I = 79
- 39.66 deg, I = 21
- 45.18 deg, I = 18
- 48.91 deg, I = 22
- 50.75 deg, I = 35

=====

Starting from a cell relaxed with PBE, the X-ray diffraction stick pattern of Al2CdSiSb was computed for copper Kα.

Atomic structure:
Unit cell a=5.243 b=5.243 c=5.325 alpha=90.00 beta=90.00 gamma=90.00
Space group P4/mmm (No. 123)
Unique sites:
Al (0.000, 0.500, 0.000) x2
Cd (0.000, 0.000, 0.500) x1
Si (0.500, 0.500, 0.500) x1
Sb (0.500, 0.500, 0.000) x1

Largest 8 diffraction maxima, in order of rising 2θ, 2θ from 15° to 90°:
- 23.82 deg, I = 100
- 24.01 deg, I = 51
- 33.66 deg, I = 25
- 34.21 deg, I = 47
- 41.77 deg, I = 23
- 42.11 deg, I = 44
- 48.75 deg, I = 34
- 55.38 deg, I = 20

=====

Starting from a cell relaxed with PBE, the X-ray diffraction stick pattern of ScAlCd was computed for copper Kα.

Atomic structure:
Unit cell a=4.696 b=3.198 c=8.085 alpha=90.00 beta=90.00 gamma=90.00
Space group Pmma (No. 51)
Unique sites:
Sc (0.250, 0.000, 0.228) x2
Al (0.250, 0.500, 0.922) x2
Cd (0.250, 0.500, 0.589) x2

Largest 8 diffraction maxima, in order of rising 2θ, 2θ from 15° to 90°:
- 27.90 deg, I = 23
- 29.15 deg, I = 38
- 30.05 deg, I = 26
- 35.76 deg, I = 100
- 38.34 deg, I = 36
- 38.52 deg, I = 68
- 48.23 deg, I = 22
- 71.49 deg, I = 20

=====

Starting from a cell relaxed with PBE, the X-ray diffraction stick pattern of ScAlCd was computed for copper Kα.

Atomic structure:
Unit cell a=4.704 b=8.155 c=6.321 alpha=90.00 beta=90.23 gamma=90.00
Space group C2/m (No. 12)
Unique sites:
Sc (0.000, 0.000, 0.241) x4
Al (0.000, 0.333, 0.000) x4
Cd (0.000, 0.333, 0.500) x4

Largest 8 diffraction maxima, in order of rising 2θ, 2θ from 15° to 90°:
- 26.01 deg, I = 34
- 28.24 deg, I = 21
- 35.93 deg, I = 61
- 36.02 deg, I = 30
- 38.25 deg, I = 100
- 40.91 deg, I = 29
- 53.45 deg, I = 18
- 69.14 deg, I = 16

=====

Starting from a cell relaxed with PBE, the X-ray diffraction stick pattern of Sc3AlCd was computed for copper Kα.

Atomic structure:
Unit cell a=4.840 b=18.582 c=4.842 alpha=90.00 beta=90.00 gamma=90.00
Space group Cmcm (No. 63)
Unique sites:
Sc (0.000, 0.057, 0.250) x4
Sc (0.000, 0.250, 0.250) x4
Sc (0.000, 0.442, 0.250) x4
Al (0.000, 0.154, 0.750) x4
Cd (0.000, 0.346, 0.750) x4

Largest 8 diffraction maxima, in order of rising 2θ, 2θ from 15° to 90°:
- 20.69 deg, I = 18
- 23.32 deg, I = 15
- 35.66 deg, I = 100
- 37.14 deg, I = 45
- 53.54 deg, I = 15
- 63.07 deg, I = 16
- 66.00 deg, I = 29
- 75.52 deg, I = 10